1.
This entry pairs a crystal structure of Te2W3Se2S2 with its theoretical X-ray powder pattern. Radiation: Cu Kα (weighted mean of Kα1 and Kα2). Structure: a DFT-relaxed cell (GGA-PBE, the Materials Project).
No peak broadening, texture or thermal motion is included.

Atomic structure:
Cell lengths 3.3481, 3.3481, 31.0227 Å; angles 90.00, 90.00, 120.00 degrees
Atoms (fractional coordinates):
Te1 0.0000 0.0000 0.0000
Te2 0.0000 0.0000 0.1227
W1 0.0000 0.0000 0.8300
W2 0.6667 0.3333 0.0614
W3 0.6667 0.3333 0.5987
Se1 0.6667 0.3333 0.7761
Se2 0.6667 0.3333 0.8838
S1 0.0000 0.0000 0.5496
S2 0.0000 0.0000 0.6477

The 10 most intense peaks (2θ = 5–70°), low angle first:
| d_spacing | two_theta | I/Imax | (hkl) |
| --- | --- | --- | --- |
| 15.511 | 5.7 | 100.0 | 0 0 2 |
| 7.756 | 11.4 | 96.5 | 0 0 4 |
| 6.205 | 14.3 | 19.1 | 0 0 5 |
| 2.900 | 30.8 | 23.2 | 1 0 0 |
| 2.716 | 33.0 | 14.5 | 0 1 4 |
| 2.529 | 35.5 | 42.5 | 0 1 6 |
| 2.426 | 37.1 | 48.0 | 1 0 7 |
| 2.118 | 42.7 | 19.2 | 0 1 10 |
| 2.022 | 44.8 | 33.3 | 1 0 11 |
| 1.673 | 54.9 | 24.9 | 1 1 0 |


2.
This entry pairs a crystal structure of TeW2Se2S with its theoretical X-ray powder pattern. Radiation: Cu Kα (weighted mean of Kα1 and Kα2). Structure: a DFT-relaxed cell (GGA-PBE, the Materials Project).
No peak broadening, texture or thermal motion is included.

Atomic structure:
Cell lengths 3.3433, 3.3433, 38.1365 Å; angles 90.00, 90.00, 120.00 degrees
Atoms (fractional coordinates):
Te1 0.0000 0.0000 0.0000
Te2 0.0000 0.0000 0.1000
W1 0.0000 0.0000 0.4864
W2 0.0000 0.0000 0.8621
W3 0.3333 0.6667 0.0500
W4 0.3333 0.6667 0.6743
Se1 0.3333 0.6667 0.4424
Se2 0.3333 0.6667 0.5303
Se3 0.3333 0.6667 0.8181
Se4 0.3333 0.6667 0.9060
S1 0.0000 0.0000 0.6343
S2 0.0000 0.0000 0.7142

The 10 most intense peaks (2θ = 5–70°), low angle first:
| d_spacing | two_theta | I/Imax | (hkl) |
| --- | --- | --- | --- |
| 12.712 | 7.0 | 32.7 | 0 0 3 |
| 7.627 | 11.6 | 100.0 | 0 0 5 |
| 6.356 | 13.9 | 22.5 | 0 0 6 |
| 2.894 | 30.9 | 31.3 | 1 0 0 |
| 2.707 | 33.1 | 13.8 | 1 0 5 |
| 2.475 | 36.3 | 71.8 | 1 0 8 |
| 2.061 | 43.9 | 40.3 | 0 1 13 |
| 1.984 | 45.7 | 13.5 | 1 0 14 |
| 1.671 | 54.9 | 23.1 | 1 1 0 |
| 1.385 | 67.6 | 11.7 | 2 0 8 |


3.
This entry pairs a crystal structure of TeW2Se2S with its theoretical X-ray powder pattern. Radiation: Cu Kα (weighted mean of Kα1 and Kα2). Structure: a DFT-relaxed cell (GGA-PBE, the Materials Project).
No peak broadening, texture or thermal motion is included.

Atomic structure:
Cell lengths 3.3420, 3.3420, 38.1260 Å; angles 90.00, 90.00, 120.00 degrees
Atoms (fractional coordinates):
Te1 0.0000 0.0000 0.0000
Te2 0.0000 0.0000 0.1000
W1 0.0000 0.0000 0.4864
W2 0.0000 0.0000 0.8621
W3 0.3333 0.6667 0.0500
W4 0.3333 0.6667 0.6742
Se1 0.0000 0.0000 0.6303
Se2 0.0000 0.0000 0.7181
Se3 0.3333 0.6667 0.8182
Se4 0.3333 0.6667 0.9060
S1 0.3333 0.6667 0.4464
S2 0.3333 0.6667 0.5263

The 10 most intense peaks (2θ = 5–70°), low angle first:
| d_spacing | two_theta | I/Imax | (hkl) |
| --- | --- | --- | --- |
| 12.709 | 7.0 | 25.1 | 0 0 3 |
| 7.625 | 11.6 | 100.0 | 0 0 5 |
| 6.354 | 13.9 | 21.6 | 0 0 6 |
| 2.893 | 30.9 | 33.3 | 1 0 0 |
| 2.706 | 33.1 | 13.9 | 1 0 5 |
| 2.474 | 36.3 | 71.9 | 1 0 8 |
| 2.060 | 44.0 | 41.0 | 0 1 13 |
| 1.983 | 45.7 | 15.1 | 1 0 14 |
| 1.671 | 55.0 | 24.9 | 1 1 0 |
| 1.385 | 67.7 | 11.7 | 0 2 8 |


Repeat the third record exactly.
This entry pairs a crystal structure of TeW2Se2S with its theoretical X-ray powder pattern. Radiation: Cu Kα (weighted mean of Kα1 and Kα2). Structure: a DFT-relaxed cell (GGA-PBE, the Materials Project).
No peak broadening, texture or thermal motion is included.

Atomic structure:
Cell lengths 3.3420, 3.3420, 38.1260 Å; angles 90.00, 90.00, 120.00 degrees
Atoms (fractional coordinates):
Te1 0.0000 0.0000 0.0000
Te2 0.0000 0.0000 0.1000
W1 0.0000 0.0000 0.4864
W2 0.0000 0.0000 0.8621
W3 0.3333 0.6667 0.0500
W4 0.3333 0.6667 0.6742
Se1 0.0000 0.0000 0.6303
Se2 0.0000 0.0000 0.7181
Se3 0.3333 0.6667 0.8182
Se4 0.3333 0.6667 0.9060
S1 0.3333 0.6667 0.4464
S2 0.3333 0.6667 0.5263

The 10 most intense peaks (2θ = 5–70°), low angle first:
| d_spacing | two_theta | I/Imax | (hkl) |
| --- | --- | --- | --- |
| 12.709 | 7.0 | 25.1 | 0 0 3 |
| 7.625 | 11.6 | 100.0 | 0 0 5 |
| 6.354 | 13.9 | 21.6 | 0 0 6 |
| 2.893 | 30.9 | 33.3 | 1 0 0 |
| 2.706 | 33.1 | 13.9 | 1 0 5 |
| 2.474 | 36.3 | 71.9 | 1 0 8 |
| 2.060 | 44.0 | 41.0 | 0 1 13 |
| 1.983 | 45.7 | 15.1 | 1 0 14 |
| 1.671 | 55.0 | 24.9 | 1 1 0 |
| 1.385 | 67.7 | 11.7 | 0 2 8 |